Record 1
Structure and computed X-ray diffraction stick pattern of Hf2Bi2O7 (a GGA-PBE-relaxed structure; Cu Kα (λ = 1.5418 Å)).
Neutral-atom scattering factors, no anomalous dispersion.

Largest 8 diffraction maxima, sorted by position, 2θ = 10–80°:
- d 3.145, 2θ = 28.38°, I 100
- d 2.739, 2θ = 32.70°, I 11
- d 2.716, 2θ = 32.98°, I 27
- d 1.929, 2θ = 47.12°, I 24
- d 1.921, 2θ = 47.32°, I 14
- d 1.649, 2θ = 55.74°, I 9
- d 1.641, 2θ = 56.04°, I 11
- d 1.638, 2θ = 56.17°, I 15

```
22
Lattice="5.441 -5.425 0.000 5.441 5.425 0.000 -5.436 0.000 5.478" Properties=species:S:1:pos:R:3 pbc="T T T"
Hf -1.349 0.000 1.376
Hf 1.373 2.701 1.375
Hf 4.072 2.701 4.102
Hf 6.794 0.000 4.102
Bi 3.865 -0.088 1.029
Bi 1.073 -2.673 1.638
Bi 1.581 -0.088 4.448
Bi 4.373 -2.673 3.840
O -0.152 1.501 2.136
O 5.441 4.512 0.000
O 2.111 1.225 0.146
O 2.723 2.067 2.739
O -2.604 -1.265 4.921
O -0.492 -1.421 2.647
O 5.441 1.274 0.000
O 2.723 -1.454 2.739
O 5.441 -1.769 0.000
O 3.334 1.225 5.332
O 5.597 1.501 3.342
O 8.049 -1.265 0.557
O 5.937 -1.421 2.830
O 2.723 -4.732 2.739
```

Record 2
Structure and computed X-ray diffraction stick pattern of HfBiO4 (a GGA-PBE-relaxed structure; Cu Kα (λ = 1.5418 Å)).
Neutral-atom scattering factors, no anomalous dispersion.

Largest 8 diffraction maxima, sorted by position, 2θ = 10–80°:
- d 3.854, 2θ = 23.08°, I 72
- d 3.225, 2θ = 27.66°, I 100
- d 3.202, 2θ = 27.86°, I 95
- d 3.105, 2θ = 28.75°, I 97
- d 3.076, 2θ = 29.03°, I 90
- d 2.953, 2θ = 30.27°, I 33
- d 2.735, 2θ = 32.75°, I 65
- d 2.543, 2θ = 35.30°, I 46

```
24
Lattice="5.478 0.000 0.000 -0.358 7.785 0.000 -0.198 -1.157 7.716" Properties=species:S:1:pos:R:3 pbc="T T T"
Hf 1.079 0.958 2.759
Hf 1.104 4.903 2.539
Hf 3.818 1.726 5.177
Hf 3.843 5.670 4.958
Bi 1.118 0.067 6.646
Bi 1.131 4.093 6.323
Bi 3.791 2.535 1.393
Bi 3.804 6.562 1.071
O -0.034 1.292 0.878
O 0.117 2.242 6.231
O 0.167 4.693 4.390
O 0.205 6.804 2.491
O 1.939 2.978 2.462
O 1.987 5.143 0.626
O 2.087 0.847 4.517
O 2.655 0.678 1.431
O 2.267 5.950 6.285
O 2.835 5.782 3.199
O 2.935 1.486 7.090
O 2.983 3.650 5.254
O 4.717 -0.175 5.225
O 4.755 1.935 3.327
O 4.805 4.386 1.486
O 4.956 5.337 6.838
```

Record 3
Structure and computed X-ray diffraction stick pattern of K2HgBiI6 (a GGA-PBE-relaxed structure; Cu Kα (λ = 1.5418 Å)).
Neutral-atom scattering factors, no anomalous dispersion.

Largest 8 diffraction maxima, sorted by position, 2θ = 10–80°:
- d 6.208, 2θ = 14.27°, I 100
- d 3.104, 2θ = 28.76°, I 92
- d 2.776, 2θ = 32.24°, I 59
- d 2.195, 2θ = 41.12°, I 70
- d 2.069, 2θ = 43.74°, I 32
- d 1.792, 2θ = 50.95°, I 25
- d 1.388, 2θ = 67.47°, I 32
- d 1.267, 2θ = 74.94°, I 24

```
10
Lattice="0.000 6.208 6.208 6.208 0.000 6.208 6.208 6.208 0.000" Properties=species:S:1:pos:R:3 pbc="T T T"
K 3.104 3.104 3.104
K 9.312 9.312 9.312
Hg 0.000 0.000 0.000
Bi 6.208 6.208 6.208
I 6.208 6.208 3.120
I 6.208 3.120 6.208
I 9.297 6.208 6.208
I 3.120 6.208 6.208
I 6.208 9.297 6.208
I 6.208 6.208 9.297
```

Record 4
Structure and computed X-ray diffraction stick pattern of Li2HgBi (a GGA-PBE-relaxed structure; Cu Kα (λ = 1.5418 Å)).
Neutral-atom scattering factors, no anomalous dispersion.

Largest 7 diffraction maxima, sorted by position, 2θ = 10–80°:
- d 3.469, 2θ = 25.68°, I 100
- d 2.453, 2θ = 36.63°, I 90
- d 2.003, 2θ = 45.28°, I 30
- d 1.735, 2θ = 52.78°, I 16
- d 1.551, 2θ = 59.59°, I 41
- d 1.416, 2θ = 65.96°, I 33
- d 1.227, 2θ = 77.88°, I 11

```
4
Lattice="0.000 3.469 3.469 3.469 0.000 3.469 3.469 3.469 0.000" Properties=species:S:1:pos:R:3 pbc="T T T"
Li 1.735 1.735 1.735
Li 5.204 5.204 5.204
Hg 0.000 0.000 0.000
Bi 3.469 3.469 3.469
```

Record 5
Structure and computed X-ray diffraction stick pattern of MgHg2Bi2O6 (a GGA-PBE-relaxed structure; Cu Kα (λ = 1.5418 Å)).
Neutral-atom scattering factors, no anomalous dispersion.

Largest 8 diffraction maxima, sorted by position, 2θ = 10–80°:
- d 4.380, 2θ = 20.27°, I 28
- d 3.322, 2θ = 26.83°, I 41
- d 2.913, 2θ = 30.70°, I 100
- d 2.893, 2θ = 30.91°, I 60
- d 2.070, 2θ = 43.72°, I 21
- d 2.053, 2θ = 44.12°, I 27
- d 1.682, 2θ = 54.58°, I 26
- d 1.678, 2θ = 54.71°, I 26

```
11
Lattice="2.913 1.682 5.887 -2.913 1.682 5.887 0.000 -3.363 5.887" Properties=species:S:1:pos:R:3 pbc="T T T"
Mg 0.000 0.000 0.000
Hg 0.000 0.000 6.951
Hg 0.000 0.000 14.627
Bi 0.000 0.000 3.410
Bi 0.000 0.000 11.414
O -2.250 -0.023 7.018
O -1.190 -1.931 10.437
O 1.145 -1.937 7.018
O -1.078 1.996 10.437
O 1.105 1.960 7.018
O 2.267 -0.065 10.437
```

Record 6
Structure and computed X-ray diffraction stick pattern of MgHg2Bi2O6 (a GGA-PBE-relaxed structure; Cu Kα (λ = 1.5418 Å)).
Neutral-atom scattering factors, no anomalous dispersion.

Largest 8 diffraction maxima, sorted by position, 2θ = 10–80°:
- d 3.790, 2θ = 23.47°, I 76
- d 3.309, 2θ = 26.94°, I 57
- d 3.230, 2θ = 27.61°, I 100
- d 3.131, 2θ = 28.51°, I 94
- d 3.077, 2θ = 29.02°, I 36
- d 2.988, 2θ = 29.90°, I 37
- d 2.862, 2θ = 31.26°, I 48
- d 1.877, 2θ = 48.51°, I 30

```
11
Lattice="6.018 0.000 0.000 2.451 5.767 0.000 2.683 -0.763 5.694" Properties=species:S:1:pos:R:3 pbc="T T T"
Mg 0.000 0.000 0.000
Hg 3.903 2.486 4.667
Hg 2.196 0.570 2.208
Bi 4.471 2.885 0.988
Bi 7.586 4.669 3.410
O 2.692 2.676 2.200
O 3.934 0.418 4.660
O 6.233 3.402 5.300
O 5.435 4.336 2.201
O 5.894 0.377 1.946
O 9.451 4.541 4.774
```

Record 7
Structure and computed X-ray diffraction stick pattern of HgBi2S4 (a GGA-PBE-relaxed structure; Cu Kα (λ = 1.5418 Å)).
Neutral-atom scattering factors, no anomalous dispersion.

Largest 8 diffraction maxima, sorted by position, 2θ = 10–80°:
- d 3.666, 2θ = 24.28°, I 45
- d 3.627, 2θ = 24.55°, I 36
- d 3.576, 2θ = 24.90°, I 91
- d 3.096, 2θ = 28.84°, I 100
- d 2.949, 2θ = 30.30°, I 34
- d 2.911, 2θ = 30.71°, I 43
- d 1.953, 2θ = 46.51°, I 32
- d 1.826, 2θ = 49.96°, I 30

```
14
Lattice="7.257 -2.052 0.000 7.257 2.052 0.000 -6.873 0.000 12.519" Properties=species:S:1:pos:R:3 pbc="T T T"
Hg 0.000 0.000 0.000
Hg -3.437 0.000 6.260
Bi -2.726 0.000 10.874
Bi 0.684 0.000 7.963
Bi 6.957 0.000 4.556
Bi 10.366 0.000 1.645
S -2.268 0.000 4.155
S 1.095 0.000 2.133
S 1.472 0.000 5.462
S 4.892 0.000 0.907
S 2.748 0.000 11.612
S 6.168 0.000 7.057
S 6.546 0.000 10.386
S 9.908 0.000 8.364
```

Record 8
Structure and computed X-ray diffraction stick pattern of HoBi3 (a GGA-PBE-relaxed structure; Cu Kα (λ = 1.5418 Å)).
Neutral-atom scattering factors, no anomalous dispersion.

Largest 8 diffraction maxima, sorted by position, 2θ = 10–80°:
- d 2.835, 2θ = 31.56°, I 100
- d 2.755, 2θ = 32.50°, I 23
- d 2.338, 2θ = 38.51°, I 30
- d 1.782, 2θ = 51.25°, I 26
- d 1.653, 2θ = 55.60°, I 10
- d 1.606, 2θ = 57.39°, I 19
- d 1.428, 2θ = 65.35°, I 26
- d 1.417, 2θ = 65.90°, I 13

```
4
Lattice="-2.338 2.338 5.510 2.338 -2.338 5.510 2.338 2.338 -5.510" Properties=species:S:1:pos:R:3 pbc="T T T"
Ho 0.000 0.000 0.000
Bi 2.338 0.000 2.755
Bi 0.000 0.000 5.510
Bi 0.000 2.338 2.755
```